No. 1
For Ca2TaTl3S6, the GGA-PBE geometry in Alexandria gives the computed powder XRD pattern in this record (Cu Kα X-rays).
Kinematic intensities with the Lorentz-polarization factor, no thermal factor.

Top 10 peaks for 2θ = 15–90°, by angle:
2θ/deg  I_rel
24.25  27
26.16  17
26.96  19
27.16  38
30.59  100
41.78  14
42.11  25
45.50  22
52.39  15
56.02  11

Atomic structure:
Unit cell a=6.8878 b=6.8878 c=7.6766 alpha=98.44 beta=98.44 gamma=119.73
Element x y z (fractional)
Ca (0.1661, 0.8339, 0.0000)
Ca (0.8339, 0.1661, 0.0000)
Ta (0.5000, 0.5000, 0.0000)
Tl (0.0000, 0.0000, 0.5000)
Tl (0.3302, 0.6698, 0.5000)
Tl (0.6698, 0.3302, 0.5000)
S (0.1407, 0.4351, 0.8071)
S (0.2723, 0.2723, 0.2027)
S (0.4351, 0.1407, 0.8071)
S (0.5649, 0.8593, 0.1929)
S (0.7277, 0.7277, 0.7973)
S (0.8593, 0.5649, 0.1929)

No. 2
For La2Mn2Co15, the GGA-PBE geometry in Alexandria gives the computed powder XRD pattern in this record (Cu Kα X-rays).
Kinematic intensities with the Lorentz-polarization factor, no thermal factor.

Top 10 peaks for 2θ = 15–90°, by angle:
2θ/deg  I_rel
30.34  33
36.80  38
38.18  43
42.75  73
43.10  100
43.97  25
44.11  37
48.41  33
62.32  18
63.11  18

Atomic structure:
Unit cell a=6.3810 b=6.3810 c=6.3810 alpha=83.04 beta=83.04 gamma=83.04
Element x y z (fractional)
La (0.1505, 0.1505, 0.1505)
La (0.8495, 0.8495, 0.8495)
Mn (0.3960, 0.3960, 0.3960)
Mn (0.6040, 0.6040, 0.6040)
Co (0.0000, 0.5000, 0.5000)
Co (0.1552, 0.1552, 0.6488)
Co (0.1552, 0.6488, 0.1552)
Co (0.2176, 0.5000, 0.7824)
Co (0.2176, 0.7824, 0.5000)
Co (0.3512, 0.8448, 0.8448)
Co (0.5000, 0.0000, 0.5000)
Co (0.5000, 0.2176, 0.7824)
Co (0.5000, 0.5000, 0.0000)
Co (0.5000, 0.7824, 0.2176)
Co (0.6488, 0.1552, 0.1552)
Co (0.7824, 0.2176, 0.5000)
Co (0.7824, 0.5000, 0.2176)
Co (0.8448, 0.3512, 0.8448)
Co (0.8448, 0.8448, 0.3512)

No. 3
For Pr2SnPRh6, the GGA-PBE geometry in Alexandria gives the computed powder XRD pattern in this record (Cu Kα X-rays).
Kinematic intensities with the Lorentz-polarization factor, no thermal factor.

Top 10 peaks for 2θ = 15–90°, by angle:
2θ/deg  I_rel
27.52  29
28.03  64
30.56  48
34.43  69
37.49  100
38.89  70
41.21  73
43.22  70
57.95  39
82.74  26

Atomic structure:
Unit cell a=5.7332 b=8.7624 c=7.8582 alpha=90.00 beta=90.00 gamma=90.00
Element x y z (fractional)
Pr (0.2500, 0.0200, 0.2173)
Pr (0.2500, 0.4800, 0.2173)
Pr (0.7500, 0.5200, 0.7827)
Pr (0.7500, 0.9800, 0.7827)
Sn (0.2500, 0.7500, 0.7930)
Sn (0.7500, 0.2500, 0.2070)
P (0.2500, 0.2500, 0.7157)
P (0.7500, 0.7500, 0.2843)
Rh (0.0052, 0.7500, 0.0712)
Rh (0.0166, 0.7500, 0.4950)
Rh (0.2500, 0.0029, 0.5987)
Rh (0.2500, 0.4971, 0.5987)
Rh (0.4834, 0.7500, 0.4950)
Rh (0.4948, 0.7500, 0.0712)
Rh (0.5052, 0.2500, 0.9288)
Rh (0.5166, 0.2500, 0.5050)
Rh (0.7500, 0.5029, 0.4013)
Rh (0.7500, 0.9971, 0.4013)
Rh (0.9834, 0.2500, 0.5050)
Rh (0.9948, 0.2500, 0.9288)

No. 4
For TlCd3Pb6, the GGA-PBE geometry in Alexandria gives the computed powder XRD pattern in this record (Cu Kα X-rays).
Kinematic intensities with the Lorentz-polarization factor, no thermal factor.

Top 10 peaks for 2θ = 15–90°, by angle:
2θ/deg  I_rel
29.33  22
30.58  100
30.71  98
32.83  55
33.23  87
35.64  33
36.26  20
38.83  38
52.61  51
62.06  20

Atomic structure:
Unit cell a=3.4800 b=12.8921 c=13.4953 alpha=77.69 beta=89.92 gamma=89.88
Element x y z (fractional)
Tl (0.2494, 0.2760, 0.0475)
Tl (0.7506, 0.7240, 0.9525)
Cd (0.2504, 0.9082, 0.0548)
Cd (0.2512, 0.0953, 0.4320)
Cd (0.2520, 0.4873, 0.6567)
Cd (0.7480, 0.5127, 0.3433)
Cd (0.7488, 0.9047, 0.5680)
Cd (0.7496, 0.0918, 0.9452)
Pb (0.2492, 0.3382, 0.4990)
Pb (0.2495, 0.2653, 0.7932)
Pb (0.2498, 0.7122, 0.7217)
Pb (0.2496, 0.8714, 0.3598)
Pb (0.2513, 0.5127, 0.1236)
Pb (0.2507, 0.9405, 0.8093)
Pb (0.7493, 0.0595, 0.1907)
Pb (0.7487, 0.4873, 0.8764)
Pb (0.7504, 0.1286, 0.6402)
Pb (0.7502, 0.2878, 0.2783)
Pb (0.7505, 0.7347, 0.2068)
Pb (0.7508, 0.6618, 0.5010)

No. 5
For TmBi2Pb, the GGA-PBE geometry in Alexandria gives the computed powder XRD pattern in this record (Cu Kα X-rays).
Kinematic intensities with the Lorentz-polarization factor, no thermal factor.

Top 10 peaks for 2θ = 15–90°, by angle:
2θ/deg  I_rel
30.28  66
33.74  100
43.19  13
43.51  13
55.93  24
56.13  24
62.44  18
62.97  9
86.94  8
88.30  7

Atomic structure:
Unit cell a=6.8350 b=6.8350 c=6.8350 alpha=119.49 beta=104.39 gamma=105.02
Element x y z (fractional)
Tm (0.2500, 0.2500, 0.0000)
Tm (0.7500, 0.7500, 0.0000)
Bi (0.2497, 0.2489, 0.4986)
Bi (0.2503, 0.7489, 0.9991)
Bi (0.7497, 0.2511, 0.0009)
Bi (0.7503, 0.7511, 0.5014)
Pb (0.2500, 0.7500, 0.5000)
Pb (0.7500, 0.2500, 0.5000)

No. 6
For Na3Th3CuTe8, the GGA-PBE geometry in Alexandria gives the computed powder XRD pattern in this record (Cu Kα X-rays).
Kinematic intensities with the Lorentz-polarization factor, no thermal factor.

Top 10 peaks for 2θ = 15–90°, by angle:
2θ/deg  I_rel
22.89  28
27.70  100
28.24  41
38.84  19
39.11  33
40.31  19
40.80  38
48.50  12
48.71  17
57.22  12

Atomic structure:
Unit cell a=8.8575 b=8.8575 c=8.9645 alpha=117.74 beta=117.74 gamma=63.14
Element x y z (fractional)
Na (0.0000, 0.0000, 0.0000)
Na (0.0000, 0.5000, 0.0000)
Na (0.5000, 0.0000, 0.0000)
Th (0.0000, 0.5000, 0.5000)
Th (0.5000, 0.0000, 0.5000)
Th (0.5000, 0.5000, 0.5000)
Cu (0.0000, 0.0000, 0.5000)
Te (0.2065, 0.2065, 0.6969)
Te (0.2496, 0.2496, 0.2537)
Te (0.2602, 0.7223, 0.7424)
Te (0.2777, 0.7398, 0.2576)
Te (0.7223, 0.2602, 0.7424)
Te (0.7398, 0.2777, 0.2576)
Te (0.7504, 0.7504, 0.7463)
Te (0.7935, 0.7935, 0.3031)

No. 7
For ZnAs2PbO8, the GGA-PBE geometry in Alexandria gives the computed powder XRD pattern in this record (Cu Kα X-rays).
Kinematic intensities with the Lorentz-polarization factor, no thermal factor.

Top 10 peaks for 2θ = 15–90°, by angle:
2θ/deg  I_rel
19.48  55
23.09  75
31.64  100
34.07  67
36.34  21
42.53  26
47.18  38
54.78  23
59.47  36
62.45  29

Atomic structure:
Unit cell a=5.2628 b=5.2628 c=7.2109 alpha=90.00 beta=90.00 gamma=120.00
Element x y z (fractional)
Zn (0.0000, 0.0000, 0.0000)
As (0.3333, 0.6667, 0.2333)
As (0.6667, 0.3333, 0.7667)
Pb (0.0000, 0.0000, 0.5000)
O (0.0492, 0.3223, 0.1792)
O (0.2731, 0.9508, 0.1792)
O (0.3223, 0.2731, 0.8208)
O (0.3333, 0.6667, 0.4746)
O (0.6667, 0.3333, 0.5254)
O (0.6777, 0.7269, 0.1792)
O (0.7269, 0.0492, 0.8208)
O (0.9508, 0.6777, 0.8208)

No. 8
For Y3NpRu4, the GGA-PBE geometry in Alexandria gives the computed powder XRD pattern in this record (Cu Kα X-rays).
Kinematic intensities with the Lorentz-polarization factor, no thermal factor.

Top 10 peaks for 2θ = 15–90°, by angle:
2θ/deg  I_rel
18.48  13
32.29  7
37.46  100
42.08  4
50.27  4
54.01  17
57.59  2
67.58  35
70.74  2
79.91  11

Atomic structure:
Unit cell a=5.8809 b=5.8809 c=5.8809 alpha=109.47 beta=109.47 gamma=109.47
Element x y z (fractional)
Y (0.0000, 0.5000, 0.5000)
Y (0.5000, 0.0000, 0.5000)
Y (0.5000, 0.5000, 0.0000)
Np (0.0000, 0.0000, 0.0000)
Ru (0.0000, 0.0000, 0.5000)
Ru (0.0000, 0.5000, 0.0000)
Ru (0.5000, 0.0000, 0.0000)
Ru (0.5000, 0.5000, 0.5000)

No. 9
For Zn4AgPt2, the GGA-PBE geometry in Alexandria gives the computed powder XRD pattern in this record (Cu Kα X-rays).
Kinematic intensities with the Lorentz-polarization factor, no thermal factor.

Top 10 peaks for 2θ = 15–90°, by angle:
2θ/deg  I_rel
26.51  31
28.31  44
33.38  74
37.49  79
38.19  100
40.85  51
41.14  19
44.32  47
47.64  22
54.59  70

Atomic structure:
Unit cell a=5.4974 b=5.4974 c=4.9450 alpha=99.71 beta=99.71 gamma=51.74
Element x y z (fractional)
Zn (0.0000, 0.0000, 0.0000)
Zn (0.2423, 0.2423, 0.3248)
Zn (0.5000, 0.5000, 0.5000)
Zn (0.7577, 0.7577, 0.6752)
Ag (0.0000, 0.0000, 0.5000)
Pt (0.3495, 0.3495, 0.8723)
Pt (0.6505, 0.6505, 0.1277)

No. 10
For Sc4Sb3, the GGA-PBE geometry in Alexandria gives the computed powder XRD pattern in this record (Cu Kα X-rays).
Kinematic intensities with the Lorentz-polarization factor, no thermal factor.

Top 10 peaks for 2θ = 15–90°, by angle:
2θ/deg  I_rel
25.07  59
32.55  100
38.73  64
46.69  32
49.12  21
51.46  9
53.72  22
66.22  33
70.10  14
81.26  22

Atomic structure:
Unit cell a=7.5344 b=7.5344 c=7.5344 alpha=109.47 beta=109.47 gamma=109.47
Element x y z (fractional)
Sc (0.0000, 0.1508, 0.5000)
Sc (0.0000, 0.6508, 0.5000)
Sc (0.1508, 0.5000, 0.0000)
Sc (0.3492, 0.3492, 0.3492)
Sc (0.5000, 0.0000, 0.1508)
Sc (0.5000, 0.0000, 0.6508)
Sc (0.6508, 0.5000, 0.0000)
Sc (0.8492, 0.8492, 0.8492)
Sb (0.1250, 0.8750, 0.2500)
Sb (0.2500, 0.1250, 0.8750)
Sb (0.3750, 0.6250, 0.7500)
Sb (0.6250, 0.7500, 0.3750)
Sb (0.7500, 0.3750, 0.6250)
Sb (0.8750, 0.2500, 0.1250)

No. 11
For CuNiHRuCSe, the GGA-PBE geometry in Alexandria gives the computed powder XRD pattern in this record (Cu Kα X-rays).
Kinematic intensities with the Lorentz-polarization factor, no thermal factor.

Top 10 peaks for 2θ = 15–90°, by angle:
2θ/deg  I_rel
19.55  28
31.86  100
32.09  33
36.35  38
39.73  55
40.48  46
41.23  42
48.31  22
48.64  61
55.10  21

Atomic structure:
Unit cell a=5.6928 b=5.6928 c=5.0518 alpha=115.08 beta=115.08 gamma=29.82
Element x y z (fractional)
Cu (0.0000, 0.0000, 0.0000)
Ni (0.3358, 0.3358, 0.5575)
H (0.1779, 0.1779, 0.2084)
Ru (0.2305, 0.2305, 0.9239)
C (0.7938, 0.7938, 0.7630)
Se (0.0041, 0.0041, 0.4928)

No. 12
For NpIn2I5, the GGA-PBE geometry in Alexandria gives the computed powder XRD pattern in this record (Cu Kα X-rays).
Kinematic intensities with the Lorentz-polarization factor, no thermal factor.

Top 10 peaks for 2θ = 15–90°, by angle:
2θ/deg  I_rel
24.22  32
26.72  59
27.55  100
27.98  34
29.63  84
31.04  66
33.29  51
37.10  57
37.77  50
42.72  49

Atomic structure:
Unit cell a=14.3347 b=9.6929 c=9.1305 alpha=90.00 beta=90.00 gamma=90.00
Element x y z (fractional)
Np (0.0022, 0.2500, 0.0724)
Np (0.4978, 0.7500, 0.5724)
Np (0.5022, 0.2500, 0.4276)
Np (0.9978, 0.7500, 0.9276)
In (0.1737, 0.5034, 0.5523)
In (0.1737, 0.9966, 0.5523)
In (0.3263, 0.0034, 0.0523)
In (0.3263, 0.4966, 0.0523)
In (0.6737, 0.5034, 0.9477)
In (0.6737, 0.9966, 0.9477)
In (0.8263, 0.0034, 0.4477)
In (0.8263, 0.4966, 0.4477)
I (0.0034, 0.2500, 0.4315)
I (0.0809, 0.5431, 0.1686)
I (0.0809, 0.9569, 0.1686)
I (0.1845, 0.2500, 0.8751)
I (0.2101, 0.7500, 0.8355)
I (0.2899, 0.2500, 0.3355)
I (0.3155, 0.7500, 0.3751)
I (0.4191, 0.0431, 0.6686)
I (0.4191, 0.4569, 0.6686)
I (0.4966, 0.7500, 0.9315)
I (0.5034, 0.2500, 0.0685)
I (0.5809, 0.5431, 0.3314)
I (0.5809, 0.9569, 0.3314)
I (0.6845, 0.2500, 0.6249)
I (0.7101, 0.7500, 0.6645)
I (0.7899, 0.2500, 0.1645)
I (0.8155, 0.7500, 0.1249)
I (0.9191, 0.0431, 0.8314)
I (0.9191, 0.4569, 0.8314)
I (0.9966, 0.7500, 0.5685)